ThScB8Rh8: theoretical X-ray diffraction stick pattern (Cu Kα), based on DFT lattice parameters and positions (PBE).
No peak broadening, texture or thermal motion is included.

Peak list (8 most intense, 2θ = 10–90°, in order of rising 2θ)
d_spacing  2θ (°)  I_rel  h k l
3.075  29.04  67  1 0 2
2.520  35.62  99  2 0 1
2.280  39.52  100  2 1 1
2.268  39.73  77  1 0 3
2.018  44.91  44  2 1 2
1.690  54.27  23  2 2 2
1.456  63.95  22  3 2 1
1.333  70.67  30  2 2 4

Crystal structure
```
data_ThScB8Rh8
_symmetry_space_group_name_H-M 'P -4 m 2'
_symmetry_Int_Tables_number 115
_cell_length_a 5.351
_cell_length_b 5.351
_cell_length_c 7.514
_cell_angle_alpha 90.00
_cell_angle_beta 90.00
_cell_angle_gamma 90.00
loop_
_symmetry_equiv_pos_as_xyz
'x,y,z'
'y,-x,-z'
'-x,-y,z'
'-y,x,-z'
'-x,y,z'
'-y,-x,-z'
'x,-y,z'
'y,x,-z'
loop_
_atom_site_label
_atom_site_type_symbol
_atom_site_fract_x
_atom_site_fract_y
_atom_site_fract_z
_atom_site_occupancy
Th1 Th 0.000 0.000 0.000 1
Sc1 Sc 0.500 0.500 0.500 1
B1 B 0.000 0.329 0.352 1
B2 B 0.167 0.500 0.849 1
Rh1 Rh 0.000 0.251 0.641 1
Rh2 Rh 0.252 0.500 0.152 1
```